(1)
Starting from the PBE geometry in Alexandria, the X-ray diffraction stick pattern of Pm4PrBi5 was calculated for Cu Ka.

Most intense lines, 10 to 90 degrees two-theta, in order of rising 2θ:
- hkl 1 1 0, 2θ 27.5, I = 100
- hkl 2 0 0, 2θ 39.2, I = 79
- hkl 2 0 10, 2θ 48.6, I = 29
- hkl 2 2 0, 2θ 56.7, I = 14
- hkl 3 1 0, 2θ 64.2, I = 38
- hkl 3 1 10, 2θ 71.1, I = 28

Cell lengths 4.5920, 4.5920, 32.4444 Å; angles 90.00, 90.00, 90.00 degrees
Space group I4/mmm (No. 139)
Inequivalent atoms, fractional coordinates:
Pm: 0.0000 0.0000 0.1002
Pm: 0.0000 0.0000 0.2997
Pr: 0.0000 0.0000 0.5000
Bi: 0.0000 0.0000 0.0000
Bi: 0.0000 0.0000 0.2000
Bi: 0.0000 0.0000 0.3992

(2)
Starting from the PBE geometry in Alexandria, the X-ray diffraction stick pattern of Ba5Ca4 was calculated for Cu Ka.

Most intense lines, 10 to 90 degrees two-theta, in order of rising 2θ:
- hkl 3 0 1, 2θ 25.8, I = 100
- hkl 0 0 2, 2θ 28.7, I = 19
- hkl 3 3 0, 2θ 30.4, I = 34
- hkl 3 3 2, 2θ 42.3, I = 26
- hkl 3 0 3, 2θ 49.1, I = 18
- hkl 6 3 1, 2θ 51.3, I = 28

Cell lengths 12.4565, 12.4565, 6.2269 Å; angles 90.00, 90.00, 90.00 degrees
Space group I4/mmm (No. 139)
Inequivalent atoms, fractional coordinates:
Ba: 0.0000 0.0000 0.0000
Ba: 0.1710 0.1710 0.5000
Ca: 0.0000 0.3461 0.0000

(3)
Starting from the PBE geometry in Alexandria, the X-ray diffraction stick pattern of SrCu3Rh was calculated for Cu Ka.

Most intense lines, 10 to 90 degrees two-theta, in order of rising 2θ:
- hkl 1 0 1, 2θ 13.5, I = 94
- hkl 2 1 2, 2θ 34.8, I = 67
- hkl 1 1 3, 2θ 35.3, I = 46
- hkl 2 1 3, 2θ 40.0, I = 100
- hkl 0 2 0, 2θ 43.2, I = 69
- hkl 4 1 1, 2θ 49.2, I = 45

Cell lengths 8.4303, 4.1900, 10.3730 Å; angles 90.00, 90.00, 90.00 degrees
Space group Pnma (No. 62)
Inequivalent atoms, fractional coordinates:
Sr: 0.1921 0.2500 0.0344
Cu: 0.1027 0.7500 0.7651
Cu: 0.1350 0.2500 0.3639
Cu: 0.2229 0.7500 0.2552
Rh: 0.0366 0.2500 0.6030

(4)
Starting from the PBE geometry in Alexandria, the X-ray diffraction stick pattern of Li3CoH7 was calculated for Cu Ka.

Most intense lines, 10 to 90 degrees two-theta, in order of rising 2θ:
- hkl 0 0 1, 2θ 21.3, I = 56
- hkl 1 1 0, 2θ 22.4, I = 100
- hkl 1 1 -1, 2θ 24.3, I = 70
- hkl 2 0 -1, 2θ 29.6, I = 44
- hkl 0 2 1, 2θ 36.7, I = 64
- hkl 2 2 -1, 2θ 42.3, I = 23

Cell lengths 6.1005, 6.0551, 4.8345 Å; angles 90.00, 120.27, 90.00 degrees
Space group Cm (No. 8)
Inequivalent atoms, fractional coordinates:
Li: 0.0000 0.0000 0.0000
Li: 0.4794 0.2241 0.4910
Co: 0.0500 0.5000 0.0488
H: 0.1260 0.2722 0.2210
H: 0.1534 0.5000 0.8156
H: 0.3496 0.5000 0.2750
H: 0.3582 0.1638 0.8034
H: 0.3663 0.0000 0.1851

(5)
Starting from the PBE geometry in Alexandria, the X-ray diffraction stick pattern of Tl2HgAsF6 was calculated for Cu Ka.

Most intense lines, 10 to 90 degrees two-theta, in order of rising 2θ:
- hkl 2 0 0, 2θ 27.1, I = 100
- hkl 2 2 -1, 2θ 27.1, I = 66
- hkl 2 0 -2, 2θ 27.3, I = 33
- hkl 0 4 0, 2θ 38.7, I = 58
- hkl 2 4 0, 2θ 47.8, I = 42
- hkl 2 4 -2, 2θ 48.0, I = 28

Cell lengths 9.2825, 9.2988, 6.5433 Å; angles 90.00, 134.68, 90.00 degrees
Space group C2/m (No. 12)
Inequivalent atoms, fractional coordinates:
Tl: 0.0000 0.2496 0.0000
Hg: 0.0000 0.0000 0.5000
As: 0.0000 0.5000 0.5000
F: 0.0000 0.2843 0.5000
F: 0.2144 0.5000 0.9313
F: 0.2155 0.5000 0.4989

(6)
Starting from the PBE geometry in Alexandria, the X-ray diffraction stick pattern of La4Au2O9 was calculated for Cu Ka.

Most intense lines, 10 to 90 degrees two-theta, in order of rising 2θ:
- hkl 0 0 2, 2θ 14.5, I = 40
- hkl 3 1 1, 2θ 27.0, I = 100
- hkl 1 2 1, 2θ 29.9, I = 55
- hkl 2 2 0, 2θ 31.7, I = 28
- hkl 2 0 4, 2θ 32.8, I = 75
- hkl 2 2 2, 2θ 35.0, I = 33

Cell lengths 12.2023, 6.3793, 12.1928 Å; angles 90.00, 90.00, 90.00 degrees
Space group Pbcn (No. 60)
Inequivalent atoms, fractional coordinates:
La: 0.0104 0.2429 0.0891
La: 0.1600 0.1971 0.7633
Au: 0.2298 0.4222 0.5106
O: 0.0000 0.0230 0.2500
O: 0.0795 0.3931 0.5859
O: 0.1156 0.0586 0.9465
O: 0.1644 0.4439 0.3542
O: 0.1979 0.1209 0.1577

(7)
Starting from the PBE geometry in Alexandria, the X-ray diffraction stick pattern of Rb5V2Cl12 was calculated for Cu Ka.

Most intense lines, 10 to 90 degrees two-theta, in order of rising 2θ:
- hkl 0 1 -1, 2θ 11.6, I = 100
- hkl -1 2 2, 2θ 25.8, I = 45
- hkl 0 2 -3, 2θ 29.9, I = 48
- hkl 2 2 -1, 2θ 30.4, I = 77
- hkl 0 2 3, 2θ 32.7, I = 36
- hkl 2 0 -4, 2θ 36.0, I = 77

Cell lengths 7.1990, 10.2002, 11.0081 Å; angles 95.02, 108.97, 90.02 degrees
Space group P-1 (No. 2)
Inequivalent atoms, fractional coordinates:
Rb: 0.0000 0.0000 0.0000
Rb: 0.3197 0.9883 0.6406
Rb: 0.3254 0.5349 0.6506
V: 0.1654 0.2393 0.3305
Cl: 0.0233 0.2500 0.4976
Cl: 0.1530 0.7774 0.8261
Cl: 0.1593 0.0027 0.3210
Cl: 0.1649 0.4660 0.3268
Cl: 0.3284 0.2212 0.1740
Cl: 0.4738 0.2489 0.4977

(8)
Starting from the PBE geometry in Alexandria, the X-ray diffraction stick pattern of Pa2H3N was calculated for Cu Ka.

Most intense lines, 10 to 90 degrees two-theta, in order of rising 2θ:
- hkl 1 1 1, 2θ 29.1, I = 100
- hkl 2 0 0, 2θ 33.7, I = 47
- hkl 2 2 0, 2θ 48.5, I = 41
- hkl 3 1 1, 2θ 57.5, I = 46
- hkl 3 3 1, 2θ 78.5, I = 19
- hkl 4 2 0, 2θ 80.9, I = 17

Cell lengths 5.3137, 5.3137, 5.3137 Å; angles 90.00, 90.00, 90.00 degrees
Space group Pn-3m (No. 224, origin choice 2)
Inequivalent atoms, fractional coordinates:
Pa: 0.0000 0.0000 0.0000
H: 0.2500 0.2500 0.7500
N: 0.2500 0.2500 0.2500